# Si3Os2
Simulated X-ray diffraction stick pattern, Cu Kα (weighted mean of Kα1 and Kα2). Input: a GGA-PBE-relaxed structure.
Peak positions follow from Bragg's law for the DFT cell and can differ from measured ones.

Cell and atoms:
```
Si3Os2
1.0
11.2411 0.0000 0.0000
0.0000 9.0239 0.0000
0.0000 0.0000 5.6246
Si Os
24 16
direct
0.0738 0.2055 0.0563
0.0738 0.7945 0.5563
0.1303 0.3929 0.6042
0.1303 0.6071 0.1042
0.1815 0.0634 0.4094
0.1815 0.9366 0.9094
0.3185 0.4366 0.9094
0.3185 0.5634 0.4094
0.3697 0.1071 0.1042
0.3697 0.8929 0.6042
0.4262 0.2945 0.5563
0.4262 0.7055 0.0563
0.5738 0.2945 0.9437
0.5738 0.7055 0.4437
0.6303 0.1071 0.3958
0.6303 0.8929 0.8958
0.6815 0.4366 0.5906
0.6815 0.5634 0.0906
0.8185 0.0634 0.0906
0.8185 0.9366 0.5906
0.8697 0.3929 0.8958
0.8697 0.6071 0.3958
0.9262 0.2055 0.4437
0.9262 0.7945 0.9437
0.0000 0.0378 0.7500
0.0000 0.4240 0.2500
0.0000 0.5760 0.7500
0.0000 0.9622 0.2500
0.2451 0.1868 0.7625
0.2451 0.8132 0.2625
0.2549 0.3132 0.2625
0.2549 0.6868 0.7625
0.5000 0.0760 0.7500
0.5000 0.4622 0.2500
0.5000 0.5378 0.7500
0.5000 0.9240 0.2500
0.7451 0.3132 0.2375
0.7451 0.6868 0.7375
0.7549 0.1868 0.7375
0.7549 0.8132 0.2375
```

Largest 6 diffraction maxima, in order of rising 2θ, 2θ = 10–80°:
index	two_theta	Rel. int.
2 2 0	25.3	100
4 0 0	31.8	59
2 2 2	41.1	83
4 0 2	45.6	30
2 4 1	46.3	52
6 4 1	67.0	27